DyLuGe2Os: theoretical X-ray powder pattern (Cu Kα), based on a crystal structure in OQMD, relaxed with PBE.
Kinematic intensities with the Lorentz-polarization factor, no thermal factor.

Structure:
```
10
Lattice="5.321 -2.141 0.000 5.321 2.141 0.000 -4.675 0.000 8.883" Properties=species:S:1:pos:R:3 pbc="T T T"
Dy 1.432 0.000 1.022
Dy 4.535 0.000 7.861
Lu -3.120 0.000 5.978
Lu 9.086 0.000 2.905
Ge 1.778 0.000 3.899
Ge 4.583 0.000 1.118
Ge 1.383 0.000 7.765
Ge 4.188 0.000 4.984
Os -0.090 0.000 5.607
Os 6.056 0.000 3.276
```

Peak list (8 most intense, 2θ = 10–90°, by angle)
Position (°2θ), I_rel
32.9, 306
33.4, 924
33.5, 593
34.3, 321
37.1, 777
40.6, 1000
42.2, 617
65.1, 282

Li4InPAu2: theoretical X-ray powder pattern (Cu Kα), based on a crystal structure in OQMD, relaxed with PBE.
Kinematic intensities with the Lorentz-polarization factor, no thermal factor.

Structure:
```
8
Lattice="4.203 0.000 0.000 0.000 4.203 0.000 0.000 0.000 7.027" Properties=species:S:1:pos:R:3 pbc="T T T"
Li 0.000 0.000 0.000
Li 0.000 2.101 5.009
Li 2.101 0.000 2.018
Li 2.101 2.101 3.513
In 2.101 2.101 0.000
P 0.000 0.000 3.513
Au 0.000 2.101 1.865
Au 2.101 0.000 5.162
```

Peak list (8 most intense, 2θ = 10–90°, by angle)
Position (°2θ), I_rel
24.7, 1000
30.1, 112
39.7, 543
43.0, 223
44.3, 204
50.3, 300
63.5, 141
76.7, 160